Record 1
Computed X-ray powder pattern of Pa2CoCuSi for a wavelength of 1.5418 Å, from a DFT-relaxed cell (GGA-PBE, Alexandria).
No peak broadening, texture or thermal motion is included.

Cell and atoms:
Lattice parameters (Å, degrees): 6.695 3.882 7.101 90.00 104.42 90.00
Sites, in units of the cell vectors:
Pa: 0.090 0.250 0.373
Pa: 0.316 0.250 0.973
Pa: 0.684 0.750 0.027
Pa: 0.910 0.750 0.627
Co: 0.093 0.750 0.101
Co: 0.907 0.250 0.899
Cu: 0.365 0.750 0.647
Cu: 0.635 0.250 0.353
Si: 0.421 0.750 0.319
Si: 0.579 0.250 0.681

The 12 most intense peaks (2θ from 15° to 90°), by angle:
| 2θ/deg | Rel. int. |
| --- | --- |
| 21.04 | 30 |
| 26.77 | 51 |
| 31.30 | 37 |
| 33.36 | 55 |
| 34.85 | 83 |
| 35.03 | 77 |
| 35.96 | 100 |
| 39.30 | 35 |
| 40.51 | 35 |
| 40.86 | 39 |
| 46.81 | 42 |
| 58.69 | 25 |

Record 2
Computed X-ray powder pattern of TbP6Pd12 for a wavelength of 1.5418 Å, from a DFT-relaxed cell (GGA-PBE, Alexandria).
No peak broadening, texture or thermal motion is included.

Cell and atoms:
Lattice parameters (Å, degrees): 7.014 7.014 7.014 103.96 103.96 103.96
Sites, in units of the cell vectors:
Tb: 0.000 0.000 0.000
P: 0.240 0.240 0.675
P: 0.240 0.675 0.240
P: 0.325 0.760 0.760
P: 0.675 0.240 0.240
P: 0.760 0.325 0.760
P: 0.760 0.760 0.325
Pd: 0.126 0.500 0.874
Pd: 0.126 0.874 0.500
Pd: 0.177 0.442 0.442
Pd: 0.442 0.177 0.442
Pd: 0.442 0.442 0.177
Pd: 0.500 0.126 0.874
Pd: 0.500 0.874 0.126
Pd: 0.558 0.558 0.823
Pd: 0.558 0.823 0.558
Pd: 0.823 0.558 0.558
Pd: 0.874 0.126 0.500
Pd: 0.874 0.500 0.126

The 12 most intense peaks (2θ from 15° to 90°), by angle:
| 2θ/deg | Rel. int. |
| --- | --- |
| 27.64 | 21 |
| 27.97 | 17 |
| 34.81 | 53 |
| 35.34 | 100 |
| 39.73 | 19 |
| 42.00 | 37 |
| 42.44 | 18 |
| 43.10 | 16 |
| 49.49 | 19 |
| 52.17 | 30 |
| 63.74 | 15 |
| 64.75 | 15 |

Record 3
Computed X-ray powder pattern of Nd12ErTh5 for a wavelength of 1.5418 Å, from a DFT-relaxed cell (GGA-PBE, Alexandria).
No peak broadening, texture or thermal motion is included.

Cell and atoms:
Lattice parameters (Å, degrees): 10.934 10.934 5.135 90.00 90.00 90.69
Sites, in units of the cell vectors:
Nd: 0.008 0.325 0.500
Nd: 0.157 0.843 0.000
Nd: 0.174 0.493 0.000
Nd: 0.325 0.008 0.500
Nd: 0.338 0.662 0.500
Nd: 0.493 0.174 0.000
Nd: 0.507 0.826 0.000
Nd: 0.662 0.338 0.500
Nd: 0.675 0.992 0.500
Nd: 0.826 0.507 0.000
Nd: 0.843 0.157 0.000
Nd: 0.992 0.675 0.500
Er: 0.500 0.500 0.000
Th: 0.000 0.000 0.500
Th: 0.168 0.168 0.000
Th: 0.335 0.335 0.500
Th: 0.665 0.665 0.500
Th: 0.832 0.832 0.000

The 12 most intense peaks (2θ from 15° to 90°), by angle:
| 2θ/deg | Rel. int. |
| --- | --- |
| 30.07 | 100 |
| 34.60 | 17 |
| 34.99 | 34 |
| 50.02 | 24 |
| 50.32 | 12 |
| 59.22 | 14 |
| 59.68 | 16 |
| 59.79 | 14 |
| 62.50 | 12 |
| 81.30 | 6 |
| 81.40 | 5 |
| 81.80 | 6 |

Record 4
Computed X-ray powder pattern of Ag2HgGe for a wavelength of 1.5418 Å, from a DFT-relaxed cell (GGA-PBE, Alexandria).
No peak broadening, texture or thermal motion is included.

Cell and atoms:
Lattice parameters (Å, degrees): 6.808 6.808 6.808 90.00 90.00 90.00
Sites, in units of the cell vectors:
Ag: 0.250 0.250 0.250
Ag: 0.250 0.250 0.750
Ag: 0.250 0.750 0.250
Ag: 0.250 0.750 0.750
Ag: 0.750 0.250 0.250
Ag: 0.750 0.250 0.750
Ag: 0.750 0.750 0.250
Ag: 0.750 0.750 0.750
Hg: 0.000 0.000 0.000
Hg: 0.000 0.500 0.500
Hg: 0.500 0.000 0.500
Hg: 0.500 0.500 0.000
Ge: 0.000 0.000 0.500
Ge: 0.000 0.500 0.000
Ge: 0.500 0.000 0.000
Ge: 0.500 0.500 0.500

The 11 most intense peaks (2θ from 15° to 90°), by angle:
| 2θ/deg | Rel. int. |
| --- | --- |
| 22.62 | 14 |
| 26.18 | 1 |
| 37.36 | 100 |
| 44.12 | 8 |
| 53.86 | 17 |
| 59.15 | 3 |
| 60.85 | 1 |
| 67.38 | 34 |
| 72.08 | 3 |
| 79.66 | 11 |
| 84.12 | 3 |

Record 5
Computed X-ray powder pattern of Sr3Li4Cd4 for a wavelength of 1.5418 Å, from a DFT-relaxed cell (GGA-PBE, Alexandria).
No peak broadening, texture or thermal motion is included.

Cell and atoms:
Lattice parameters (Å, degrees): 9.266 9.266 9.266 148.66 130.65 59.64
Sites, in units of the cell vectors:
Sr: 0.000 0.000 0.000
Sr: 0.371 0.871 0.500
Sr: 0.629 0.129 0.500
Li: 0.017 0.327 0.690
Li: 0.362 0.673 0.690
Li: 0.638 0.327 0.310
Li: 0.983 0.673 0.310
Cd: 0.216 0.216 0.000
Cd: 0.311 0.500 0.811
Cd: 0.689 0.500 0.189
Cd: 0.784 0.784 0.000

The 12 most intense peaks (2θ from 15° to 90°), by angle:
| 2θ/deg | Rel. int. |
| --- | --- |
| 21.14 | 25 |
| 22.99 | 20 |
| 24.33 | 56 |
| 25.55 | 26 |
| 29.71 | 81 |
| 30.09 | 21 |
| 30.78 | 100 |
| 35.88 | 36 |
| 40.69 | 23 |
| 40.96 | 34 |
| 45.07 | 31 |
| 58.90 | 27 |

Record 6
Computed X-ray powder pattern of La3Pr6Ho for a wavelength of 1.5418 Å, from a DFT-relaxed cell (GGA-PBE, Alexandria).
No peak broadening, texture or thermal motion is included.

Cell and atoms:
Lattice parameters (Å, degrees): 7.060 7.060 9.023 105.47 105.47 59.19
Sites, in units of the cell vectors:
La: 0.000 0.000 0.000
La: 0.474 0.474 0.178
La: 0.526 0.526 0.822
Pr: 0.027 0.474 0.820
Pr: 0.300 0.300 0.490
Pr: 0.474 0.027 0.820
Pr: 0.526 0.973 0.180
Pr: 0.700 0.700 0.510
Pr: 0.973 0.526 0.180
Ho: 0.000 0.000 0.500

The 12 most intense peaks (2θ from 15° to 90°), by angle:
| 2θ/deg | Rel. int. |
| --- | --- |
| 27.40 | 31 |
| 27.61 | 25 |
| 28.80 | 100 |
| 29.84 | 90 |
| 30.02 | 24 |
| 30.60 | 78 |
| 30.76 | 34 |
| 31.25 | 71 |
| 33.10 | 52 |
| 33.20 | 37 |
| 52.89 | 25 |
| 53.93 | 26 |

Record 7
Computed X-ray powder pattern of Nd4Tm5Pu for a wavelength of 1.5418 Å, from a DFT-relaxed cell (GGA-PBE, Alexandria).
No peak broadening, texture or thermal motion is included.

Cell and atoms:
Lattice parameters (Å, degrees): 8.631 8.631 11.350 108.63 108.63 23.55
Sites, in units of the cell vectors:
Nd: 0.089 0.089 0.298
Nd: 0.394 0.394 0.206
Nd: 0.606 0.606 0.794
Nd: 0.911 0.911 0.702
Tm: 0.191 0.191 0.080
Tm: 0.211 0.211 0.616
Tm: 0.500 0.500 0.000
Tm: 0.789 0.789 0.384
Tm: 0.809 0.809 0.920
Pu: 0.500 0.500 0.500

The 12 most intense peaks (2θ from 15° to 90°), by angle:
| 2θ/deg | Rel. int. |
| --- | --- |
| 30.06 | 20 |
| 30.43 | 34 |
| 31.53 | 57 |
| 31.88 | 38 |
| 32.00 | 100 |
| 32.30 | 54 |
| 47.48 | 17 |
| 51.93 | 15 |
| 56.27 | 17 |
| 62.03 | 17 |
| 62.31 | 16 |
| 62.48 | 16 |

Record 8
Computed X-ray powder pattern of TiNbGe for a wavelength of 1.5418 Å, from a DFT-relaxed cell (GGA-PBE, Alexandria).
No peak broadening, texture or thermal motion is included.

Cell and atoms:
Lattice parameters (Å, degrees): 6.370 5.385 4.910 76.29 55.22 48.48
Sites, in units of the cell vectors:
Ti: 0.165 0.835 0.165
Ti: 0.835 0.165 0.835
Nb: 0.085 0.415 0.085
Nb: 0.415 0.085 0.415
Ge: 0.500 0.500 0.500
Ge: 0.750 0.750 0.750

The 12 most intense peaks (2θ from 15° to 90°), by angle:
| 2θ/deg | Rel. int. |
| --- | --- |
| 18.61 | 14 |
| 37.73 | 48 |
| 37.85 | 100 |
| 40.71 | 77 |
| 46.76 | 54 |
| 61.58 | 23 |
| 65.79 | 19 |
| 69.63 | 15 |
| 70.14 | 14 |
| 72.21 | 14 |
| 80.64 | 15 |
| 89.92 | 15 |